Diffraction record for In3Hg. The PXRD pattern is calculated, not measured: it uses a DFT-relaxed cell (GGA-PBE, Alexandria) and Cu Kα, 1.54184 Å.

Cell and atoms:
a = 6.8046 Å, b = 9.2914 Å, c = 3.3527 Å
α = 90.00°, β = 90.00°, γ = 90.00°
Element x y z (fractional)
1 In 0.0000 0.0000 0.0000
2 In 0.2500 0.2500 0.5000
3 In 0.2500 0.7500 0.5000
4 In 0.5000 0.5000 0.0000
5 In 0.7500 0.2500 0.5000
6 In 0.7500 0.7500 0.5000
7 Hg 0.0000 0.5000 0.0000
8 Hg 0.5000 0.0000 0.0000

The 6 most intense peaks (2θ = 10–80°), by angle:
2theta  I (rel.)
32.62  100
32.95  97
37.67  68
38.77  31
55.16  44
64.63  28



Diffraction record for LaPr2Dy9. The PXRD pattern is calculated, not measured: it uses a DFT-relaxed cell (GGA-PBE, Alexandria) and Cu Kα, 1.54184 Å.

Cell and atoms:
a = 5.0755 Å, b = 5.0755 Å, c = 15.2331 Å
α = 90.00°, β = 90.00°, γ = 90.00°
Element x y z (fractional)
1 La 0.0000 0.0000 0.0000
2 Pr 0.0000 0.0000 0.3331
3 Pr 0.0000 0.0000 0.6669
4 Dy 0.0000 0.5000 0.1679
5 Dy 0.0000 0.5000 0.5000
6 Dy 0.0000 0.5000 0.8321
7 Dy 0.5000 0.0000 0.1679
8 Dy 0.5000 0.0000 0.5000
9 Dy 0.5000 0.0000 0.8321
10 Dy 0.5000 0.5000 0.0000
11 Dy 0.5000 0.5000 0.3342
12 Dy 0.5000 0.5000 0.6658

The 6 most intense peaks (2θ = 10–80°), by angle:
2theta  I (rel.)
30.50  100
35.36  51
50.88  36
60.49  43
63.48  12
74.81  6



Diffraction record for Tb7Pr2. The PXRD pattern is calculated, not measured: it uses a DFT-relaxed cell (GGA-PBE, Alexandria) and Cu Kα, 1.54184 Å.

Cell and atoms:
a = 6.2293 Å, b = 6.2293 Å, c = 8.7924 Å
α = 90.00°, β = 90.00°, γ = 120.00°
Element x y z (fractional)
1 Tb 0.0000 0.0000 0.0000
2 Tb 0.0000 0.3322 0.6637
3 Tb 0.0000 0.6678 0.3363
4 Tb 0.3322 0.0000 0.6637
5 Tb 0.3322 0.3322 0.3363
6 Tb 0.6678 0.0000 0.3363
7 Tb 0.6678 0.6678 0.6637
8 Pr 0.3333 0.6667 0.0000
9 Pr 0.6667 0.3333 0.0000

The 6 most intense peaks (2θ = 10–80°), by angle:
2theta  I (rel.)
30.46  100
35.32  51
50.81  36
60.40  43
63.36  9
74.70  6